Entry 1:
# Ba2NaPbSe
Theoretical X-ray diffraction stick pattern, copper Kα. Input: a structure optimized by DFT (PBE).
Peak positions follow from Bragg's law for the DFT cell and can differ from measured ones.

The 10 most intense peaks (10° ≤ 2θ ≤ 90°), sorted by position:
2θ/deg	d/Å	I (rel.)
21.9	4.055	60
26.1	3.417	100
28.1	3.171	80
34.0	2.637	24
35.9	2.498	35
40.2	2.242	31
44.7	2.028	45
48.6	1.875	37
53.7	1.708	26
76.2	1.249	19

Cell and atoms:
a b c (Å): 6.343 6.343 5.274
angles (deg): 90.00 90.00 90.00
Fractional positions:
1 Ba 0.000 0.500 0.000
2 Ba 0.500 0.000 0.000
3 Na 0.000 0.000 0.500
4 Pb 0.500 0.500 0.500
5 Se 0.000 0.000 0.000


Entry 2:
# Li8TlHg3
Theoretical X-ray diffraction stick pattern, copper Kα. Input: a structure optimized by DFT (PBE).
Peak positions follow from Bragg's law for the DFT cell and can differ from measured ones.

The 10 most intense peaks (10° ≤ 2θ ≤ 90°), sorted by position:
2θ/deg	d/Å	I (rel.)
21.1	4.207	100
22.5	3.950	42
31.4	2.848	41
34.5	2.602	28
36.1	2.485	15
38.7	2.327	25
41.6	2.173	40
43.0	2.103	16
48.6	1.872	25
58.7	1.573	14

Cell and atoms:
a b c (Å): 9.333 8.469 5.833
angles (deg): 79.12 63.01 37.86
Fractional positions:
1 Li 0.092 0.591 0.908
2 Li 0.152 0.659 0.341
3 Li 0.341 0.848 0.152
4 Li 0.409 0.908 0.591
5 Li 0.591 0.092 0.409
6 Li 0.659 0.152 0.848
7 Li 0.848 0.341 0.659
8 Li 0.908 0.409 0.092
9 Tl 0.500 0.500 0.500
10 Hg 0.000 0.000 0.000
11 Hg 0.250 0.250 0.250
12 Hg 0.750 0.750 0.750


Question: What is the formula in the first record?
Answer: Ba2NaPbSe